(1)
Computed X-ray diffraction stick pattern
Compound: Eu2VO4
Radiation: Cu Kα, 1.54184 Å
Structure: a crystal structure in the Materials Project, relaxed with PBE+U
Lines closer than 0.1° are merged.

Atomic structure:
Lattice parameters (Å, degrees): 3.8664 3.8664 12.5418 90.00 90.00 90.00
Space group I4/mmm (No. 139)
Unique sites:
Eu: 0.0000 0.0000 0.1454 (multiplicity 4)
V: 0.0000 0.0000 0.5000 (multiplicity 2)
O: 0.0000 0.0000 0.3319 (multiplicity 4)
O: 0.0000 0.5000 0.0000 (multiplicity 4)

Top 10 peaks for 15° ≤ 2θ ≤ 90°, in order of rising 2θ:
| two_theta | I (rel.) |
| --- | --- |
| 24.1 | 300 |
| 28.5 | 141 |
| 31.5 | 1000 |
| 32.8 | 647 |
| 43.9 | 311 |
| 47.0 | 318 |
| 55.3 | 154 |
| 57.7 | 365 |
| 65.8 | 129 |
| 85.2 | 143 |

---

(2)
Computed X-ray diffraction stick pattern
Compound: Eu2VWO6
Radiation: Cu Kα, 1.54184 Å
Structure: a crystal structure in the Materials Project, relaxed with PBE+U
Lines closer than 0.1° are merged.

Atomic structure:
Lattice parameters (Å, degrees): 8.0400 8.0400 8.0400 90.00 90.00 90.00
Space group Fm-3m (No. 225)
Unique sites:
Eu: 0.2500 0.2500 0.2500 (multiplicity 8)
V: 0.0000 0.0000 0.0000 (multiplicity 4)
W: 0.0000 0.0000 0.5000 (multiplicity 4)
O: 0.0000 0.0000 0.2567 (multiplicity 24)

Top 10 peaks for 15° ≤ 2θ ≤ 90°, in order of rising 2θ:
| two_theta | I (rel.) |
| --- | --- |
| 19.1 | 156 |
| 31.5 | 1000 |
| 37.1 | 86 |
| 38.8 | 44 |
| 45.1 | 288 |
| 49.4 | 37 |
| 56.0 | 396 |
| 65.7 | 177 |
| 74.7 | 173 |
| 83.3 | 60 |

---

(3)
Computed X-ray diffraction stick pattern
Compound: Eu2ZrVO6
Radiation: Cu Kα, 1.54184 Å
Structure: a crystal structure in the Materials Project, relaxed with PBE+U
Lines closer than 0.1° are merged.

Atomic structure:
Lattice parameters (Å, degrees): 8.0971 8.0971 8.0971 90.00 90.00 90.00
Space group Fm-3m (No. 225)
Unique sites:
Eu: 0.2500 0.2500 0.2500 (multiplicity 8)
Zr: 0.0000 0.0000 0.0000 (multiplicity 4)
V: 0.0000 0.0000 0.5000 (multiplicity 4)
O: 0.0000 0.0000 0.2576 (multiplicity 24)

Top 10 peaks for 15° ≤ 2θ ≤ 90°, in order of rising 2θ:
| two_theta | I (rel.) |
| --- | --- |
| 22.0 | 100 |
| 31.2 | 1000 |
| 38.5 | 148 |
| 44.8 | 310 |
| 50.4 | 57 |
| 55.6 | 391 |
| 65.2 | 187 |
| 74.0 | 170 |
| 78.3 | 48 |
| 82.5 | 63 |

---

(4)
Computed X-ray diffraction stick pattern
Compound: Eu6WO12
Radiation: Cu Kα, 1.54184 Å
Structure: a crystal structure in the Materials Project, relaxed with PBE+U
Lines closer than 0.1° are merged.

Atomic structure:
Lattice parameters (Å, degrees): 10.0315 10.0315 9.6778 90.00 90.00 120.00
Space group R-3 (No. 148, hexagonal axes)
Unique sites:
Eu: 0.0461 0.7899 0.1506 (multiplicity 18)
W: 0.0000 0.0000 0.5000 (multiplicity 3)
O: 0.0325 0.8076 0.9012 (multiplicity 18)
O: 0.0369 0.8569 0.3899 (multiplicity 18)

Top 10 peaks for 15° ≤ 2θ ≤ 90°, in order of rising 2θ:
| two_theta | I (rel.) |
| --- | --- |
| 27.7 | 342 |
| 28.7 | 1000 |
| 33.0 | 494 |
| 46.6 | 300 |
| 48.0 | 270 |
| 55.1 | 137 |
| 56.3 | 257 |
| 56.9 | 145 |
| 59.5 | 109 |
| 77.6 | 93 |

---

(5)
Computed X-ray diffraction stick pattern
Compound: Eu2W2O5
Radiation: Cu Kα, 1.54184 Å
Structure: a crystal structure in the Materials Project, relaxed with PBE+U
Lines closer than 0.1° are merged.

Atomic structure:
Lattice parameters (Å, degrees): 4.1132 4.1132 7.4851 90.00 90.00 90.00
Space group P4/mmm (No. 123)
Unique sites:
Eu: 0.0000 0.0000 0.0000 (multiplicity 1)
Eu: 0.0000 0.0000 0.5000 (multiplicity 1)
W: 0.5000 0.5000 0.2170 (multiplicity 2)
O: 0.0000 0.5000 0.2281 (multiplicity 4)
O: 0.5000 0.5000 0.5000 (multiplicity 1)

Top 10 peaks for 15° ≤ 2θ ≤ 90°, in order of rising 2θ:
| two_theta | I (rel.) |
| --- | --- |
| 30.7 | 563 |
| 32.3 | 1000 |
| 44.0 | 310 |
| 55.7 | 435 |
| 58.7 | 128 |
| 64.0 | 99 |
| 67.7 | 114 |
| 72.7 | 102 |
| 73.6 | 97 |
| 89.9 | 122 |

---

(6)
Computed X-ray diffraction stick pattern
Compound: Eu2WO6
Radiation: Cu Kα, 1.54184 Å
Structure: a crystal structure in the Materials Project, relaxed with PBE+U
Lines closer than 0.1° are merged.

Atomic structure:
Lattice parameters (Å, degrees): 16.8150 11.3913 5.5367 90.00 107.63 90.00
Space group C2/c (No. 15)
Unique sites:
Eu: 0.0000 0.1110 0.2500 (multiplicity 4)
Eu: 0.0000 0.3674 0.7500 (multiplicity 4)
Eu: 0.1739 0.1160 0.8893 (multiplicity 8)
W: 0.1524 0.3530 0.4375 (multiplicity 8)
O: 0.0770 0.2373 0.5764 (multiplicity 8)
O: 0.0806 0.4648 0.4872 (multiplicity 8)
O: 0.0899 0.0122 0.0710 (multiplicity 8)
O: 0.1045 0.2766 0.1294 (multiplicity 8)
O: 0.2289 0.2936 0.7370 (multiplicity 8)
O: 0.2330 0.4462 0.3654 (multiplicity 8)

Top 10 peaks for 15° ≤ 2θ ≤ 90°, in order of rising 2θ:
| two_theta | I (rel.) |
| --- | --- |
| 27.7 | 1000 |
| 28.3 | 852 |
| 31.4 | 230 |
| 32.4 | 216 |
| 33.6 | 191 |
| 45.7 | 251 |
| 46.6 | 399 |
| 53.7 | 121 |
| 54.6 | 145 |
| 56.2 | 117 |

---

(7)
Computed X-ray diffraction stick pattern
Compound: EuWO5
Radiation: Cu Kα, 1.54184 Å
Structure: a crystal structure in the Materials Project, relaxed with PBE+U
Lines closer than 0.1° are merged.

Atomic structure:
Lattice parameters (Å, degrees): 5.3975 13.0439 7.0152 90.00 115.72 90.00
Space group P2_1/c (No. 14)
Unique sites:
Eu: 0.1341 0.0582 0.2892 (multiplicity 4)
W: 0.3927 0.1392 0.8463 (multiplicity 4)
O: 0.0304 0.0913 0.5779 (multiplicity 4)
O: 0.2081 0.0648 0.9742 (multiplicity 4)
O: 0.2760 0.6489 0.4258 (multiplicity 4)
O: 0.2929 0.2282 0.2886 (multiplicity 4)
O: 0.4858 0.5734 0.8398 (multiplicity 4)

Top 10 peaks for 15° ≤ 2θ ≤ 90°, in order of rising 2θ:
| two_theta | I (rel.) |
| --- | --- |
| 19.5 | 739 |
| 22.2 | 492 |
| 26.1 | 330 |
| 27.0 | 1000 |
| 27.5 | 338 |
| 30.9 | 804 |
| 34.0 | 341 |
| 44.0 | 285 |
| 45.2 | 324 |
| 51.4 | 254 |

---

(8)
Computed X-ray diffraction stick pattern
Compound: Eu2ZrWO6
Radiation: Cu Kα, 1.54184 Å
Structure: a crystal structure in the Materials Project, relaxed with PBE+U
Lines closer than 0.1° are merged.

Atomic structure:
Lattice parameters (Å, degrees): 8.2784 8.2784 8.2784 90.00 90.00 90.00
Space group Fm-3m (No. 225)
Unique sites:
Eu: 0.2500 0.2500 0.2500 (multiplicity 8)
Zr: 0.0000 0.0000 0.0000 (multiplicity 4)
W: 0.0000 0.0000 0.5000 (multiplicity 4)
O: 0.0000 0.0000 0.2525 (multiplicity 24)

Top 10 peaks for 15° ≤ 2θ ≤ 90°, in order of rising 2θ:
| two_theta | I (rel.) |
| --- | --- |
| 18.6 | 56 |
| 30.5 | 1000 |
| 36.0 | 33 |
| 37.6 | 22 |
| 43.7 | 285 |
| 54.3 | 405 |
| 63.6 | 178 |
| 72.2 | 176 |
| 80.4 | 60 |
| 88.4 | 217 |

---

(9)
Computed X-ray diffraction stick pattern
Compound: FeF3
Radiation: Cu Kα, 1.54184 Å
Structure: a crystal structure in the Materials Project, relaxed with PBE+U
Lines closer than 0.1° are merged.

Atomic structure:
Lattice parameters (Å, degrees): 7.4894 12.8516 7.6229 90.00 90.00 90.00
Space group Cmcm (No. 63)
Unique sites:
Fe: 0.0000 0.0000 0.0000 (multiplicity 4)
Fe: 0.2500 0.2500 0.0000 (multiplicity 8)
F: 0.0000 0.0383 0.2500 (multiplicity 4)
F: 0.0000 0.2850 0.0478 (multiplicity 8)
F: 0.1867 0.1034 0.5444 (multiplicity 16)
F: 0.2123 0.2821 0.7500 (multiplicity 8)

Top 10 peaks for 15° ≤ 2θ ≤ 90°, in order of rising 2θ:
| two_theta | I (rel.) |
| --- | --- |
| 23.3 | 1000 |
| 23.9 | 341 |
| 27.2 | 246 |
| 27.6 | 844 |
| 27.8 | 399 |
| 47.7 | 216 |
| 49.0 | 246 |
| 54.9 | 246 |
| 56.0 | 282 |
| 56.9 | 197 |

---

(10)
Computed X-ray diffraction stick pattern
Compound: FeF3
Radiation: Cu Kα, 1.54184 Å
Structure: a crystal structure in the Materials Project, relaxed with PBE+U
Lines closer than 0.1° are merged.

Atomic structure:
Lattice parameters (Å, degrees): 10.4815 10.4815 10.4815 90.00 90.00 90.00
Space group Fd-3m (No. 227, origin choice 2)
Unique sites:
Fe: 0.0000 0.0000 0.0000 (multiplicity 16)
F: 0.0615 0.3750 0.3750 (multiplicity 48)

Top 10 peaks for 15° ≤ 2θ ≤ 90°, in order of rising 2θ:
| two_theta | I (rel.) |
| --- | --- |
| 28.2 | 975 |
| 29.5 | 1000 |
| 42.2 | 228 |
| 44.9 | 392 |
| 49.2 | 562 |
| 51.6 | 386 |
| 57.7 | 195 |
| 58.4 | 381 |
| 63.4 | 363 |
| 68.8 | 225 |

---

(11)
Computed X-ray diffraction stick pattern
Compound: FeF3
Radiation: Cu Kα, 1.54184 Å
Structure: a crystal structure in the Materials Project, relaxed with PBE+U
Lines closer than 0.1° are merged.

Atomic structure:
Lattice parameters (Å, degrees): 3.9106 3.9106 3.9106 90.00 90.00 90.00
Space group Pm-3m (No. 221)
Unique sites:
Fe: 0.0000 0.0000 0.0000 (multiplicity 1)
F: 0.0000 0.0000 0.5000 (multiplicity 3)

Top 9 peaks for 15° ≤ 2θ ≤ 90°, in order of rising 2θ:
| two_theta | I (rel.) |
| --- | --- |
| 22.7 | 1000 |
| 32.4 | 190 |
| 46.4 | 285 |
| 52.3 | 349 |
| 57.7 | 73 |
| 67.8 | 148 |
| 72.5 | 142 |
| 77.1 | 31 |
| 86.1 | 45 |

---

(12)
Computed X-ray diffraction stick pattern
Compound: FeF3
Radiation: Cu Kα, 1.54184 Å
Structure: a crystal structure in the Materials Project, relaxed with PBE+U
Lines closer than 0.1° are merged.

Atomic structure:
Lattice parameters (Å, degrees): 5.2332 5.2332 6.9845 90.00 90.00 120.00
Space group P321 (No. 150)
Unique sites:
Fe: 0.0000 0.0000 0.0000 (multiplicity 1)
Fe: 0.3333 0.6667 0.6601 (multiplicity 2)
F: 0.0000 0.3904 0.5000 (multiplicity 3)
F: 0.0857 0.7553 0.8261 (multiplicity 6)

Top 10 peaks for 15° ≤ 2θ ≤ 90°, in order of rising 2θ:
| two_theta | I (rel.) |
| --- | --- |
| 23.4 | 1000 |
| 32.4 | 164 |
| 34.3 | 84 |
| 36.7 | 73 |
| 47.9 | 217 |
| 52.6 | 245 |
| 55.2 | 140 |
| 60.2 | 74 |
| 61.4 | 71 |
| 77.1 | 76 |